# 1
Li7Mn2Co3O12: simulated PXRD pattern (Cu Kα (λ = 1.5418 Å)), based on a crystal structure in the Materials Project, relaxed with GGA+U.

Crystal structure
a b c (Å): 5.082 5.159 8.732
angles (deg): 73.20 84.96 79.96
Fractional positions:
Li1 0.000 0.000 0.000
Li2 0.239 0.410 0.083
Li3 0.241 0.749 0.754
Li4 0.249 0.081 0.418
Li5 0.751 0.919 0.582
Li6 0.759 0.251 0.246
Li7 0.761 0.590 0.917
Mn1 0.499 0.842 0.164
Mn2 0.501 0.158 0.836
Co1 0.003 0.679 0.325
Co2 0.500 0.500 0.500
Co3 0.997 0.321 0.675
O1 0.134 0.689 0.533
O2 0.140 0.364 0.861
O3 0.149 0.023 0.210
O4 0.379 0.132 0.634
O5 0.383 0.493 0.282
O6 0.394 0.816 0.962
O7 0.606 0.184 0.038
O8 0.617 0.507 0.718
O9 0.621 0.868 0.366
O10 0.851 0.977 0.790
O11 0.860 0.636 0.139
O12 0.866 0.311 0.467

Main lines, low angle first (5 to 70 degrees two-theta):
18.3 deg, rel. 100; 35.7 deg, rel. 13; 35.9 deg, rel. 14; 36.3 deg, rel. 12; 43.0 deg, rel. 29; 43.6 deg, rel. 29; 44.0 deg, rel. 28; 62.8 deg, rel. 15


# 2
Li3MnCoO5: simulated PXRD pattern (Cu Kα (λ = 1.5418 Å)), based on a crystal structure in the Materials Project, relaxed with GGA+U.

Crystal structure
a b c (Å): 10.766 10.766 5.937
angles (deg): 97.41 97.41 15.51
Fractional positions:
Li1 0.000 0.000 0.000
Li2 0.000 0.000 0.500
Li3 0.195 0.195 0.094
Li4 0.409 0.409 0.718
Li5 0.591 0.591 0.282
Li6 0.805 0.805 0.906
Mn1 0.199 0.199 0.602
Mn2 0.801 0.801 0.398
Co1 0.411 0.411 0.191
Co2 0.589 0.589 0.809
O1 0.103 0.103 0.036
O2 0.111 0.111 0.567
O3 0.295 0.295 0.621
O4 0.296 0.296 0.182
O5 0.495 0.495 0.254
O6 0.505 0.505 0.746
O7 0.704 0.704 0.818
O8 0.705 0.705 0.379
O9 0.889 0.889 0.433
O10 0.897 0.897 0.964

Main lines, low angle first (5 to 70 degrees two-theta):
8.4 deg, rel. 13; 18.2 deg, rel. 100; 36.1 deg, rel. 24; 42.7 deg, rel. 26; 43.6 deg, rel. 58; 47.3 deg, rel. 11; 62.5 deg, rel. 14; 62.9 deg, rel. 12


# 3
Li7Mn4CoO12: simulated PXRD pattern (Cu Kα (λ = 1.5418 Å)), based on a crystal structure in the Materials Project, relaxed with GGA+U.

Crystal structure
a b c (Å): 5.022 5.022 19.544
angles (deg): 93.87 93.87 117.58
Fractional positions:
Li1 0.000 0.000 0.250
Li2 0.000 0.000 0.750
Li3 0.089 0.411 0.374
Li4 0.089 0.411 0.874
Li5 0.252 0.252 0.128
Li6 0.253 0.253 0.628
Li7 0.411 0.089 0.374
Li8 0.411 0.089 0.874
Li9 0.589 0.911 0.126
Li10 0.589 0.911 0.626
Li11 0.747 0.747 0.372
Li12 0.748 0.748 0.872
Li13 0.911 0.589 0.126
Li14 0.911 0.589 0.626
Mn1 0.167 0.833 0.000
Mn2 0.168 0.832 0.500
Mn3 0.332 0.668 0.250
Mn4 0.332 0.668 0.750
Mn5 0.668 0.332 0.250
Mn6 0.668 0.332 0.750
Mn7 0.832 0.168 0.500
Mn8 0.833 0.167 0.000
Co1 0.500 0.500 0.000
Co2 0.500 0.500 0.500
O1 0.023 0.666 0.305
O2 0.023 0.666 0.805
O3 0.102 0.102 0.940
O4 0.106 0.106 0.441
O5 0.235 0.563 0.558
O6 0.236 0.564 0.058
O7 0.334 0.977 0.195
O8 0.334 0.977 0.695
O9 0.392 0.392 0.306
O10 0.392 0.392 0.806
O11 0.436 0.764 0.942
O12 0.437 0.765 0.442
O13 0.563 0.235 0.558
O14 0.564 0.236 0.058
O15 0.608 0.608 0.194
O16 0.608 0.608 0.694
O17 0.666 0.023 0.305
O18 0.666 0.023 0.805
O19 0.764 0.436 0.942
O20 0.765 0.437 0.442
O21 0.894 0.894 0.559
O22 0.898 0.898 0.060
O23 0.977 0.334 0.195
O24 0.977 0.334 0.695

Main lines, low angle first (5 to 70 degrees two-theta):
9.1 deg, rel. 15; 18.3 deg, rel. 100; 34.8 deg, rel. 20; 36.5 deg, rel. 23; 41.7 deg, rel. 33; 44.4 deg, rel. 56; 62.4 deg, rel. 16; 62.7 deg, rel. 16


# 4
Li7Mn2Co3O12: simulated PXRD pattern (Cu Kα (λ = 1.5418 Å)), based on a crystal structure in the Materials Project, relaxed with GGA+U.

Crystal structure
a b c (Å): 5.150 5.150 15.398
angles (deg): 99.36 99.36 32.76
Fractional positions:
Li1 0.000 0.000 0.000
Li2 0.001 0.001 0.656
Li3 0.013 0.013 0.331
Li4 0.503 0.503 0.482
Li5 0.509 0.509 0.822
Li6 0.513 0.513 0.165
Li7 0.754 0.754 0.410
Mn1 0.252 0.252 0.571
Mn2 0.256 0.256 0.911
Co1 0.264 0.264 0.258
Co2 0.756 0.756 0.087
Co3 0.758 0.758 0.742
O1 0.134 0.134 0.112
O2 0.139 0.139 0.465
O3 0.144 0.144 0.792
O4 0.363 0.363 0.026
O5 0.372 0.372 0.699
O6 0.381 0.381 0.361
O7 0.643 0.643 0.281
O8 0.646 0.646 0.618
O9 0.646 0.646 0.947
O10 0.864 0.864 0.541
O11 0.867 0.867 0.873
O12 0.871 0.871 0.195

Main lines, low angle first (5 to 70 degrees two-theta):
5.8 deg, rel. 26; 18.2 deg, rel. 100; 35.5 deg, rel. 12; 36.1 deg, rel. 25; 43.0 deg, rel. 27; 43.6 deg, rel. 56; 62.7 deg, rel. 14; 63.1 deg, rel. 13


# 5
Li7Mn4CoO12: simulated PXRD pattern (Cu Kα (λ = 1.5418 Å)), based on a crystal structure in the Materials Project, relaxed with GGA+U.

Crystal structure
a b c (Å): 5.100 5.948 7.667
angles (deg): 79.81 77.59 73.81
Fractional positions:
Li1 0.000 0.000 0.000
Li2 0.000 0.349 0.663
Li3 0.495 0.504 0.505
Li4 0.991 0.664 0.343
Li5 0.994 0.509 0.998
Li6 0.996 0.833 0.665
Li7 0.997 0.169 0.344
Mn1 0.494 0.177 0.832
Mn2 0.496 0.340 0.170
Mn3 0.496 0.832 0.172
Mn4 0.501 0.998 0.503
Co1 0.494 0.669 0.829
O1 0.258 0.692 0.091
O2 0.262 0.479 0.767
O3 0.267 0.023 0.739
O4 0.276 0.847 0.411
O5 0.278 0.312 0.409
O6 0.280 0.156 0.082
O7 0.714 0.859 0.928
O8 0.720 0.160 0.597
O9 0.723 0.522 0.236
O10 0.724 0.321 0.926
O11 0.727 0.985 0.265
O12 0.729 0.696 0.584

Main lines, low angle first (5 to 70 degrees two-theta):
18.4 deg, rel. 100; 35.3 deg, rel. 14; 35.9 deg, rel. 12; 36.3 deg, rel. 12; 42.8 deg, rel. 30; 43.7 deg, rel. 28; 43.9 deg, rel. 28; 63.2 deg, rel. 22


# 6
Li3MnCoO5: simulated PXRD pattern (Cu Kα (λ = 1.5418 Å)), based on a crystal structure in the Materials Project, relaxed with GGA+U.

Crystal structure
a b c (Å): 24.625 24.625 24.625
angles (deg): 6.87 6.87 6.87
Fractional positions:
Li1 0.000 0.000 0.000
Li2 0.100 0.100 0.100
Li3 0.200 0.200 0.200
Li4 0.403 0.403 0.403
Li5 0.599 0.599 0.599
Li6 0.799 0.799 0.799
Mn1 0.300 0.300 0.300
Mn2 0.700 0.700 0.700
Co1 0.500 0.500 0.500
Co2 0.900 0.900 0.900
O1 0.047 0.047 0.047
O2 0.154 0.154 0.154
O3 0.248 0.248 0.248
O4 0.351 0.351 0.351
O5 0.451 0.451 0.451
O6 0.552 0.552 0.552
O7 0.649 0.649 0.649
O8 0.750 0.750 0.750
O9 0.848 0.848 0.848
O10 0.952 0.952 0.952

Main lines, low angle first (5 to 70 degrees two-theta):
7.2 deg, rel. 43; 10.8 deg, rel. 16; 18.1 deg, rel. 100; 35.6 deg, rel. 39; 43.1 deg, rel. 91; 56.6 deg, rel. 14; 62.1 deg, rel. 24; 63.0 deg, rel. 25


# 7
Li7Mn2Co3O12: simulated PXRD pattern (Cu Kα (λ = 1.5418 Å)), based on a crystal structure in the Materials Project, relaxed with GGA+U.

Crystal structure
a b c (Å): 2.947 2.947 29.428
angles (deg): 90.00 90.00 120.00
Fractional positions:
Li1 0.000 0.000 0.000
Li2 0.000 0.000 0.255
Li3 0.000 0.000 0.745
Li4 0.333 0.667 0.416
Li5 0.333 0.667 0.925
Li6 0.667 0.333 0.075
Li7 0.667 0.333 0.584
Mn1 0.333 0.667 0.168
Mn2 0.667 0.333 0.832
Co1 0.000 0.000 0.500
Co2 0.333 0.667 0.666
Co3 0.667 0.333 0.334
O1 0.000 0.000 0.133
O2 0.000 0.000 0.371
O3 0.000 0.000 0.629
O4 0.000 0.000 0.867
O5 0.333 0.667 0.043
O6 0.333 0.667 0.296
O7 0.333 0.667 0.537
O8 0.333 0.667 0.795
O9 0.667 0.333 0.205
O10 0.667 0.333 0.463
O11 0.667 0.333 0.704
O12 0.667 0.333 0.957

Main lines, low angle first (5 to 70 degrees two-theta):
6.0 deg, rel. 33; 18.1 deg, rel. 100; 35.7 deg, rel. 41; 43.1 deg, rel. 87; 56.7 deg, rel. 15; 62.2 deg, rel. 23; 63.1 deg, rel. 24; 66.2 deg, rel. 14


# 8
Li7Mn2Co3O12: simulated PXRD pattern (Cu Kα (λ = 1.5418 Å)), based on a crystal structure in the Materials Project, relaxed with GGA+U.

Crystal structure
a b c (Å): 5.033 5.033 9.793
angles (deg): 95.06 95.06 120.38
Fractional positions:
Li1 0.000 0.000 0.000
Li2 0.085 0.414 0.246
Li3 0.243 0.249 0.753
Li4 0.408 0.079 0.246
Li5 0.586 0.915 0.754
Li6 0.751 0.757 0.247
Li7 0.921 0.592 0.754
Mn1 0.500 0.500 0.500
Mn2 0.665 0.335 0.000
Co1 0.166 0.834 0.500
Co2 0.334 0.666 0.000
Co3 0.829 0.171 0.500
O1 0.038 0.679 0.112
O2 0.141 0.149 0.383
O3 0.214 0.524 0.614
O4 0.321 0.962 0.888
O5 0.394 0.400 0.110
O6 0.476 0.786 0.386
O7 0.548 0.231 0.616
O8 0.600 0.606 0.890
O9 0.672 0.033 0.110
O10 0.769 0.452 0.384
O11 0.851 0.859 0.617
O12 0.967 0.328 0.890

Main lines, low angle first (5 to 70 degrees two-theta):
9.2 deg, rel. 14; 18.4 deg, rel. 100; 36.2 deg, rel. 26; 36.5 deg, rel. 13; 43.8 deg, rel. 57; 44.2 deg, rel. 28; 63.5 deg, rel. 15; 64.4 deg, rel. 15